1.
The following is a simulated powder diffractogram of Li7Mn5O12. It was derived from a structure optimized by DFT (PBE+U), using copper Kα.
No peak broadening, texture or thermal motion is included.

The 10 most intense peaks (10° ≤ 2θ ≤ 90°), in order of rising 2θ:
18.0 deg, d = 4.922 Å, I 100
35.1 deg, d = 2.555 Å, I 42
36.7 deg, d = 2.448 Å, I 10
42.6 deg, d = 2.123 Å, I 95
46.6 deg, d = 1.949 Å, I 14
56.2 deg, d = 1.637 Å, I 15
61.7 deg, d = 1.504 Å, I 25
62.0 deg, d = 1.498 Å, I 27
65.1 deg, d = 1.433 Å, I 14
78.1 deg, d = 1.224 Å, I 12

Cell and atoms:
```
Li7Mn5O12
1.0
2.996 0.000 0.000
-1.498 2.594 0.000
0.000 0.000 29.530
Li Mn O
7 5 12
Direct
0.000 0.000 0.000
0.000 0.000 0.250
0.000 0.000 0.750
0.333 0.667 0.417
0.333 0.667 0.925
0.667 0.333 0.075
0.667 0.333 0.583
0.000 0.000 0.500
0.333 0.667 0.167
0.333 0.667 0.667
0.667 0.333 0.333
0.667 0.333 0.833
0.000 0.000 0.133
0.000 0.000 0.371
0.000 0.000 0.629
0.000 0.000 0.867
0.333 0.667 0.043
0.333 0.667 0.295
0.333 0.667 0.538
0.333 0.667 0.795
0.667 0.333 0.205
0.667 0.333 0.462
0.667 0.333 0.705
0.667 0.333 0.957
```

---

2.
The following is a simulated powder diffractogram of Fe2C4Cl2O9. It was derived from a structure optimized by DFT (PBE+U), using copper Kα.
No peak broadening, texture or thermal motion is included.

The 10 most intense peaks (10° ≤ 2θ ≤ 90°), in order of rising 2θ:
12.0 deg, d = 7.385 Å, I 100
16.3 deg, d = 5.438 Å, I 4
19.8 deg, d = 4.488 Å, I 9
20.8 deg, d = 4.278 Å, I 6
26.5 deg, d = 3.364 Å, I 3
28.5 deg, d = 3.129 Å, I 11
34.1 deg, d = 2.631 Å, I 4
35.1 deg, d = 2.560 Å, I 4
42.7 deg, d = 2.116 Å, I 3
53.3 deg, d = 1.718 Å, I 3

Cell and atoms:
```
Fe2C4Cl2O9
1.0
0.000 11.367 4.618
7.314 0.000 4.618
7.314 11.367 0.000
Fe C Cl O
4 8 4 18
Direct
0.368 0.632 0.515
0.632 0.368 0.485
0.735 0.765 0.882
0.765 0.735 0.618
0.002 0.598 0.775
0.095 0.792 0.620
0.475 0.626 0.248
0.598 0.002 0.624
0.626 0.475 0.652
0.630 0.756 0.155
0.756 0.630 0.458
0.792 0.095 0.494
0.012 0.646 0.495
0.402 0.755 0.604
0.646 0.012 0.848
0.755 0.402 0.238
0.104 0.501 0.756
0.265 0.838 0.482
0.337 0.544 0.419
0.431 0.431 0.569
0.494 0.611 0.146
0.501 0.104 0.639
0.544 0.337 0.699
0.551 0.831 0.706
0.607 0.780 0.257
0.611 0.494 0.749
0.681 0.681 0.819
0.768 0.834 0.985
0.780 0.607 0.356
0.831 0.551 0.913
0.834 0.768 0.412
0.838 0.265 0.416
0.894 0.993 0.470
0.993 0.894 0.643
```

---

3.
The following is a simulated powder diffractogram of Mn4P3O12. It was derived from a structure optimized by DFT (PBE+U), using copper Kα.
No peak broadening, texture or thermal motion is included.

The 10 most intense peaks (10° ≤ 2θ ≤ 90°), in order of rising 2θ:
13.9 deg, d = 6.390 Å, I 26
18.3 deg, d = 4.839 Å, I 60
20.8 deg, d = 4.275 Å, I 100
20.9 deg, d = 4.250 Å, I 25
23.4 deg, d = 3.809 Å, I 82
25.2 deg, d = 3.541 Å, I 49
29.6 deg, d = 3.016 Å, I 90
32.3 deg, d = 2.769 Å, I 52
32.9 deg, d = 2.724 Å, I 29
38.0 deg, d = 2.368 Å, I 55

Cell and atoms:
```
Mn4P3O12
1.0
7.354 -4.262 0.000
7.354 4.262 0.000
-4.929 0.000 8.554
Mn P O
8 6 24
Direct
0.020 0.980 0.500
0.322 0.480 0.995
0.480 0.322 0.495
0.498 0.994 0.667
0.518 0.825 0.003
0.825 0.518 0.503
0.980 0.020 0.000
0.994 0.498 0.167
0.117 0.208 0.377
0.208 0.117 0.877
0.378 0.614 0.380
0.614 0.378 0.880
0.707 0.886 0.386
0.886 0.707 0.886
0.012 0.214 0.477
0.046 0.116 0.729
0.086 0.722 0.977
0.116 0.046 0.229
0.193 0.323 0.984
0.214 0.012 0.977
0.262 0.497 0.348
0.301 0.818 0.487
0.323 0.193 0.484
0.394 0.605 0.230
0.405 0.995 0.842
0.497 0.262 0.848
0.499 0.576 0.977
0.549 0.897 0.236
0.576 0.499 0.477
0.605 0.394 0.730
0.688 0.814 0.497
0.722 0.086 0.477
0.770 0.907 0.855
0.814 0.688 0.997
0.818 0.301 0.987
0.897 0.549 0.736
0.907 0.770 0.355
0.995 0.405 0.342
```

---

4.
The following is a simulated powder diffractogram of Ti3NbCo2P6O24. It was derived from a structure optimized by DFT (PBE+U), using copper Kα.
No peak broadening, texture or thermal motion is included.

The 10 most intense peaks (10° ≤ 2θ ≤ 90°), in order of rising 2θ:
20.3 deg, d = 4.381 Å, I 93
24.0 deg, d = 3.706 Å, I 100
25.0 deg, d = 3.565 Å, I 20
31.5 deg, d = 2.841 Å, I 17
32.9 deg, d = 2.722 Å, I 68
35.5 deg, d = 2.529 Å, I 39
47.1 deg, d = 1.928 Å, I 37
49.2 deg, d = 1.853 Å, I 24
55.5 deg, d = 1.656 Å, I 26
56.2 deg, d = 1.637 Å, I 18

Cell and atoms:
```
Ti3NbCo2P6O24
1.0
4.381 2.529 6.947
-4.381 2.529 6.947
0.000 -5.058 6.947
Ti Nb Co P O
3 1 2 6 24
Direct
0.000 0.000 0.000
0.220 0.220 0.220
0.501 0.501 0.501
0.719 0.719 0.719
0.358 0.358 0.358
0.865 0.865 0.865
0.116 0.819 0.395
0.315 0.609 0.902
0.395 0.116 0.819
0.609 0.902 0.315
0.819 0.395 0.116
0.902 0.315 0.609
0.049 0.860 0.238
0.093 0.301 0.449
0.125 0.770 0.917
0.176 0.979 0.355
0.238 0.049 0.860
0.274 0.627 0.413
0.301 0.449 0.093
0.355 0.176 0.979
0.360 0.548 0.740
0.413 0.274 0.627
0.449 0.093 0.301
0.473 0.673 0.865
0.548 0.740 0.360
0.589 0.954 0.804
0.627 0.413 0.274
0.673 0.865 0.473
0.740 0.360 0.548
0.770 0.917 0.125
0.804 0.589 0.954
0.860 0.238 0.049
0.865 0.473 0.673
0.917 0.125 0.770
0.954 0.804 0.589
0.979 0.355 0.176
```

---

5.
The following is a simulated powder diffractogram of Na2FeHgF6. It was derived from a structure optimized by DFT (PBE+U), using copper Kα.
No peak broadening, texture or thermal motion is included.

The 10 most intense peaks (10° ≤ 2θ ≤ 90°), in order of rising 2θ:
17.4 deg, d = 5.101 Å, I 37
20.1 deg, d = 4.417 Å, I 100
28.6 deg, d = 3.123 Å, I 98
33.6 deg, d = 2.664 Å, I 37
40.9 deg, d = 2.209 Å, I 43
44.7 deg, d = 2.027 Å, I 24
45.9 deg, d = 1.975 Å, I 42
50.6 deg, d = 1.803 Å, I 39
59.2 deg, d = 1.562 Å, I 26
81.5 deg, d = 1.181 Å, I 22

Cell and atoms:
```
Na2FeHgF6
1.0
0.000 4.417 4.417
4.417 0.000 4.417
4.417 4.417 0.000
Na Fe Hg F
2 1 1 6
Direct
0.250 0.250 0.250
0.750 0.750 0.750
0.000 0.000 0.000
0.500 0.500 0.500
0.222 0.222 0.778
0.222 0.778 0.222
0.222 0.778 0.778
0.778 0.222 0.222
0.778 0.222 0.778
0.778 0.778 0.222
```

---

6.
The following is a simulated powder diffractogram of MgMo2O7. It was derived from a structure optimized by DFT (PBE+U), using copper Kα.
No peak broadening, texture or thermal motion is included.

The 10 most intense peaks (10° ≤ 2θ ≤ 90°), in order of rising 2θ:
16.6 deg, d = 5.355 Å, I 57
19.9 deg, d = 4.468 Å, I 100
23.7 deg, d = 3.759 Å, I 59
24.5 deg, d = 3.641 Å, I 40
25.4 deg, d = 3.511 Å, I 74
26.5 deg, d = 3.370 Å, I 38
26.6 deg, d = 3.353 Å, I 75
26.7 deg, d = 3.339 Å, I 48
31.5 deg, d = 2.836 Å, I 45
44.1 deg, d = 2.055 Å, I 26

Cell and atoms:
```
MgMo2O7
1.0
8.289 0.000 0.000
0.000 5.792 0.000
-6.522 0.000 14.042
Mg Mo O
4 8 28
Direct
0.012 0.127 0.409
0.012 0.373 0.909
0.988 0.627 0.091
0.988 0.873 0.591
0.246 0.626 0.361
0.246 0.874 0.861
0.291 0.136 0.126
0.291 0.364 0.626
0.709 0.636 0.374
0.709 0.864 0.874
0.754 0.126 0.139
0.754 0.374 0.639
0.118 0.615 0.237
0.118 0.885 0.737
0.139 0.133 0.562
0.139 0.367 0.062
0.176 0.629 0.596
0.176 0.871 0.096
0.189 0.111 0.915
0.189 0.389 0.415
0.190 0.620 0.905
0.190 0.880 0.405
0.351 0.180 0.246
0.351 0.320 0.746
0.494 0.629 0.393
0.494 0.871 0.893
0.506 0.129 0.107
0.506 0.371 0.607
0.649 0.680 0.254
0.649 0.820 0.754
0.810 0.120 0.595
0.810 0.380 0.095
0.811 0.611 0.585
0.811 0.889 0.085
0.824 0.129 0.904
0.824 0.371 0.404
0.861 0.633 0.938
0.861 0.867 0.438
0.882 0.115 0.263
0.882 0.385 0.763
```

---

7.
The following is a simulated powder diffractogram of CaCo3P3O13. It was derived from a structure optimized by DFT (PBE+U), using copper Kα.
No peak broadening, texture or thermal motion is included.

The 10 most intense peaks (10° ≤ 2θ ≤ 90°), in order of rising 2θ:
19.5 deg, d = 4.549 Å, I 100
23.0 deg, d = 3.861 Å, I 40
24.1 deg, d = 3.700 Å, I 72
27.1 deg, d = 3.296 Å, I 49
28.1 deg, d = 3.181 Å, I 73
30.1 deg, d = 2.967 Å, I 37
31.1 deg, d = 2.873 Å, I 50
32.5 deg, d = 2.756 Å, I 41
37.3 deg, d = 2.413 Å, I 36
39.0 deg, d = 2.308 Å, I 34

Cell and atoms:
```
CaCo3P3O13
1.0
7.523 0.000 0.000
0.000 6.362 0.000
-1.785 0.000 10.064
Ca Co P O
2 6 6 26
Direct
0.162 0.250 0.195
0.838 0.750 0.805
0.151 0.250 0.802
0.291 0.750 0.439
0.500 0.000 0.000
0.500 0.500 0.000
0.709 0.250 0.561
0.849 0.750 0.198
0.186 0.750 0.115
0.241 0.750 0.764
0.284 0.250 0.514
0.716 0.750 0.486
0.759 0.250 0.236
0.814 0.250 0.885
0.008 0.250 0.968
0.122 0.561 0.790
0.122 0.939 0.790
0.141 0.750 0.258
0.155 0.250 0.614
0.253 0.060 0.418
0.253 0.440 0.418
0.287 0.750 0.624
0.294 0.548 0.096
0.294 0.952 0.096
0.377 0.250 0.911
0.421 0.750 0.866
0.480 0.250 0.596
0.520 0.750 0.404
0.579 0.250 0.134
0.623 0.750 0.089
0.706 0.048 0.904
0.706 0.452 0.904
0.713 0.250 0.376
0.747 0.560 0.582
0.747 0.940 0.582
0.845 0.750 0.386
0.859 0.250 0.742
0.878 0.061 0.210
0.878 0.439 0.210
0.992 0.750 0.032
```